Simulated X-ray diffraction stick pattern of La2CePaAs4 for copper Kα, from a crystal structure in Alexandria, relaxed with GGA-PBE.

The 10 most intense peaks (15° ≤ 2θ ≤ 90°), sorted by position:
| d (Å) | I (rel.) |
| --- | --- |
| 3.472 | 172 |
| 3.011 | 1000 |
| 2.133 | 372 |
| 2.125 | 377 |
| 1.814 | 90 |
| 1.736 | 200 |
| 1.506 | 122 |
| 1.349 | 164 |
| 1.345 | 170 |
| 1.228 | 125 |

Crystal structure
Lattice parameters (Å, degrees): 7.361 4.251 7.398 90.00 109.35 90.00
Element x y z (fractional)
La  0.000  0.000  0.000
La  0.500  0.500  0.000
Ce  0.000  0.500  0.500
Pa  0.500  0.000  0.500
As  0.252  0.000  0.735
As  0.262  0.500  0.268
As  0.738  0.500  0.732
As  0.748  0.000  0.265